Starting from a DFT-relaxed cell (PBE, Alexandria), the PXRD pattern of Nd7As5P was simulated for Cu Kα X-rays.
Neutral-atom scattering factors, no anomalous dispersion.

Structural model:
```
Nd7As5P
1.0
7.019 -2.108 0.000
7.019 2.108 0.000
-0.003 0.000 24.772
Nd As P
14 10 2
direct
0.057 0.057 0.250
0.137 0.137 0.536
0.137 0.137 0.964
0.315 0.315 0.178
0.315 0.315 0.322
0.413 0.413 0.606
0.413 0.413 0.894
0.587 0.587 0.106
0.587 0.587 0.394
0.685 0.685 0.678
0.685 0.685 0.822
0.863 0.863 0.036
0.863 0.863 0.464
0.943 0.943 0.750
0.047 0.047 0.648
0.047 0.047 0.852
0.226 0.226 0.075
0.226 0.226 0.425
0.500 0.500 0.000
0.500 0.500 0.500
0.774 0.774 0.575
0.774 0.774 0.925
0.953 0.953 0.148
0.953 0.953 0.352
0.299 0.299 0.750
0.701 0.701 0.250
```

Top 12 peaks for 2θ from 10° to 90°, in order of falling intensity:
- 2.113 Å, I 100
- 3.160 Å, I 93
- 2.928 Å, I 84
- 3.036 Å, I 82
- 2.108 Å, I 38
- 1.754 Å, I 35
- 2.034 Å, I 32
- 2.833 Å, I 31
- 3.381 Å, I 25
- 3.107 Å, I 22
- 3.475 Å, I 22
- 2.274 Å, I 21

Starting from a DFT-relaxed cell (PBE, Alexandria), the PXRD pattern of PmNdAsP was simulated for Cu Kα X-rays.
Neutral-atom scattering factors, no anomalous dispersion.

Structural model:
```
PmNdAsP
1.0
4.206 0.000 0.000
0.000 4.206 0.000
0.000 0.000 5.941
Pm Nd As P
1 1 1 1
direct
0.000 0.000 0.000
0.500 0.500 0.500
0.000 0.000 0.500
0.500 0.500 0.000
```

Top 12 peaks for 2θ from 10° to 90°, in order of falling intensity:
- 2.973 Å, I 100
- 2.102 Å, I 74
- 3.433 Å, I 40
- 1.329 Å, I 33
- 1.716 Å, I 26
- 1.214 Å, I 25
- 1.793 Å, I 20
- 1.486 Å, I 12
- 1.364 Å, I 8
- 1.144 Å, I 5
- 4.206 Å, I 2
- 5.941 Å, I 2

Starting from a DFT-relaxed cell (PBE, Alexandria), the PXRD pattern of PrNdPa2As4 was simulated for Cu Kα X-rays.
Neutral-atom scattering factors, no anomalous dispersion.

Structural model:
```
PrNdPa2As4
1.0
5.914 0.000 0.000
0.000 5.914 0.000
0.000 0.000 11.848
Pr Nd Pa As
2 2 4 8
direct
0.000 0.000 0.000
0.500 0.500 0.500
0.000 0.500 0.750
0.500 0.000 0.250
0.000 0.000 0.500
0.000 0.500 0.250
0.500 0.000 0.750
0.500 0.500 0.000
0.000 0.000 0.257
0.000 0.000 0.743
0.000 0.500 0.006
0.000 0.500 0.494
0.500 0.000 0.506
0.500 0.000 0.994
0.500 0.500 0.243
0.500 0.500 0.757
```

Top 12 peaks for 2θ from 10° to 90°, in order of falling intensity:
- 2.959 Å, I 100
- 2.092 Å, I 75
- 3.416 Å, I 32
- 1.708 Å, I 27
- 1.208 Å, I 26
- 1.323 Å, I 23
- 1.784 Å, I 16
- 1.322 Å, I 12
- 1.478 Å, I 8
- 5.291 Å, I 7
- 1.357 Å, I 7
- 1.481 Å, I 4

Starting from a DFT-relaxed cell (PBE, Alexandria), the PXRD pattern of PrNd2PaAs4 was simulated for Cu Kα X-rays.
Neutral-atom scattering factors, no anomalous dispersion.

Structural model:
```
PrNd2PaAs4
1.0
5.971 0.000 0.000
0.000 5.971 0.000
0.000 0.000 11.965
Pr Nd Pa As
2 4 2 8
direct
0.000 0.000 0.000
0.500 0.500 0.500
0.000 0.000 0.500
0.000 0.500 0.250
0.500 0.000 0.750
0.500 0.500 0.000
0.000 0.500 0.750
0.500 0.000 0.250
0.000 0.000 0.251
0.000 0.000 0.749
0.000 0.500 0.510
0.000 0.500 0.990
0.500 0.000 0.010
0.500 0.000 0.490
0.500 0.500 0.249
0.500 0.500 0.751
```

Top 12 peaks for 2θ from 10° to 90°, in order of falling intensity:
- 2.988 Å, I 100
- 2.113 Å, I 75
- 1.725 Å, I 27
- 1.220 Å, I 25
- 3.450 Å, I 25
- 1.337 Å, I 22
- 1.802 Å, I 13
- 1.335 Å, I 11
- 1.493 Å, I 8
- 1.371 Å, I 5
- 5.343 Å, I 5
- 1.496 Å, I 4

Starting from a DFT-relaxed cell (PBE, Alexandria), the PXRD pattern of Nd4Sb2AsPb was simulated for Cu Kα X-rays.
Neutral-atom scattering factors, no anomalous dispersion.

Structural model:
```
Nd4Sb2AsPb
1.0
6.336 0.000 0.000
0.000 6.336 0.000
0.000 0.000 12.643
Nd Sb As Pb
8 4 2 2
direct
0.000 0.000 0.241
0.000 0.000 0.759
0.000 0.500 0.503
0.000 0.500 0.997
0.500 0.000 0.003
0.500 0.000 0.497
0.500 0.500 0.259
0.500 0.500 0.741
0.000 0.000 0.500
0.000 0.500 0.750
0.500 0.000 0.250
0.500 0.500 0.000
0.000 0.000 0.000
0.500 0.500 0.500
0.000 0.500 0.250
0.500 0.000 0.750
```

Top 12 peaks for 2θ from 10° to 90°, in order of falling intensity:
- 3.166 Å, I 100
- 2.238 Å, I 76
- 1.828 Å, I 27
- 1.292 Å, I 26
- 1.416 Å, I 24
- 1.414 Å, I 11
- 1.584 Å, I 9
- 1.119 Å, I 5
- 1.580 Å, I 4
- 1.120 Å, I 3
- 3.509 Å, I 3
- 5.664 Å, I 3

Starting from a DFT-relaxed cell (PBE, Alexandria), the PXRD pattern of Nd4TeAsPb2 was simulated for Cu Kα X-rays.
Neutral-atom scattering factors, no anomalous dispersion.

Structural model:
```
Nd4TeAsPb2
1.0
7.606 0.000 0.000
0.000 4.367 0.000
-2.510 0.000 7.669
Nd Te As Pb
4 1 1 2
direct
0.231 0.000 0.229
0.241 0.500 0.760
0.759 0.500 0.240
0.769 0.000 0.771
0.500 0.000 0.000
0.000 0.500 0.000
0.000 0.000 0.500
0.500 0.500 0.500
```

Top 12 peaks for 2θ from 10° to 90°, in order of falling intensity:
- 3.166 Å, I 100
- 2.289 Å, I 27
- 2.193 Å, I 24
- 1.798 Å, I 13
- 2.298 Å, I 13
- 1.583 Å, I 13
- 2.184 Å, I 12
- 1.441 Å, I 12
- 1.392 Å, I 11
- 1.917 Å, I 8
- 1.807 Å, I 6
- 1.445 Å, I 6

Starting from a DFT-relaxed cell (PBE, Alexandria), the PXRD pattern of NdAs2Pd8 was simulated for Cu Kα X-rays.
Neutral-atom scattering factors, no anomalous dispersion.

Structural model:
```
NdAs2Pd8
1.0
5.615 0.000 0.000
0.000 5.615 0.000
0.000 0.000 7.332
Nd As Pd
1 2 8
direct
0.000 0.000 0.000
0.000 0.500 0.500
0.500 0.000 0.500
0.254 0.254 0.291
0.254 0.254 0.709
0.254 0.746 0.291
0.254 0.746 0.709
0.746 0.254 0.291
0.746 0.254 0.709
0.746 0.746 0.291
0.746 0.746 0.709
```

Top 12 peaks for 2θ from 10° to 90°, in order of falling intensity:
- 2.229 Å, I 100
- 1.985 Å, I 43
- 2.808 Å, I 28
- 3.491 Å, I 28
- 1.188 Å, I 26
- 7.332 Å, I 25
- 1.843 Å, I 19
- 3.666 Å, I 18
- 1.404 Å, I 14
- 4.458 Å, I 13
- 2.444 Å, I 11
- 1.300 Å, I 10

Starting from a DFT-relaxed cell (PBE, Alexandria), the PXRD pattern of NdAs3PdRh2 was simulated for Cu Kα X-rays.
Neutral-atom scattering factors, no anomalous dispersion.

Structural model:
```
NdAs3PdRh2
1.0
3.674 2.121 6.451
-3.674 2.121 6.451
0.000 -4.243 6.451
Nd As Pd Rh
2 6 2 4
direct
0.236 0.236 0.236
0.764 0.764 0.764
0.267 0.267 0.697
0.267 0.697 0.267
0.303 0.733 0.733
0.697 0.267 0.267
0.733 0.303 0.733
0.733 0.733 0.303
0.089 0.089 0.089
0.911 0.911 0.911
0.000 0.500 0.500
0.500 0.000 0.500
0.500 0.500 0.000
0.500 0.500 0.500
```

Top 12 peaks for 2θ from 10° to 90°, in order of falling intensity:
- 2.658 Å, I 100
- 1.837 Å, I 57
- 1.926 Å, I 40
- 3.193 Å, I 38
- 1.815 Å, I 36
- 3.674 Å, I 36
- 3.140 Å, I 27
- 2.536 Å, I 22
- 1.212 Å, I 19
- 2.424 Å, I 18
- 2.043 Å, I 17
- 1.511 Å, I 17

Starting from a DFT-relaxed cell (PBE, Alexandria), the PXRD pattern of Pm3NdAs3 was simulated for Cu Kα X-rays.
Neutral-atom scattering factors, no anomalous dispersion.

Structural model:
```
Pm3NdAs3
1.0
8.992 0.000 0.000
0.000 8.992 0.000
0.000 0.000 8.992
Pm Nd As
12 4 12
direct
0.066 0.434 0.566
0.184 0.184 0.184
0.184 0.816 0.316
0.316 0.184 0.816
0.316 0.816 0.684
0.434 0.566 0.066
0.566 0.066 0.434
0.684 0.316 0.816
0.684 0.684 0.684
0.816 0.316 0.184
0.816 0.684 0.316
0.934 0.934 0.934
0.066 0.566 0.934
0.434 0.434 0.434
0.566 0.934 0.066
0.934 0.066 0.566
0.000 0.249 0.876
0.000 0.749 0.624
0.124 0.500 0.251
0.249 0.876 0.000
0.251 0.124 0.500
0.376 0.500 0.751
0.500 0.251 0.124
0.500 0.751 0.376
0.624 0.000 0.749
0.749 0.624 0.000
0.751 0.376 0.500
0.876 0.000 0.249
```

Top 12 peaks for 2θ from 10° to 90°, in order of falling intensity:
- 2.843 Å, I 100
- 2.403 Å, I 60
- 1.763 Å, I 33
- 1.459 Å, I 22
- 1.835 Å, I 18
- 1.224 Å, I 15
- 3.179 Å, I 15
- 1.387 Å, I 14
- 1.422 Å, I 11
- 3.671 Å, I 10
- 1.917 Å, I 9
- 1.298 Å, I 7

Starting from a DFT-relaxed cell (PBE, Alexandria), the PXRD pattern of SrPmNd2As4 was simulated for Cu Kα X-rays.
Neutral-atom scattering factors, no anomalous dispersion.

Structural model:
```
SrPmNd2As4
1.0
7.473 0.000 0.000
0.000 4.300 0.000
-2.486 0.000 7.059
Sr Pm Nd As
1 1 2 4
direct
0.000 0.000 0.000
0.000 0.500 0.500
0.500 0.000 0.500
0.500 0.500 0.000
0.253 0.000 0.744
0.259 0.500 0.261
0.741 0.500 0.739
0.747 0.000 0.256
```

Top 12 peaks for 2θ from 10° to 90°, in order of falling intensity:
- 3.049 Å, I 100
- 2.159 Å, I 38
- 2.155 Å, I 25
- 1.364 Å, I 17
- 1.758 Å, I 13
- 1.763 Å, I 13
- 2.150 Å, I 12
- 1.525 Å, I 12
- 1.365 Å, I 11
- 1.247 Å, I 10
- 1.243 Å, I 8
- 3.527 Å, I 6

Starting from a DFT-relaxed cell (PBE, Alexandria), the PXRD pattern of Pm2NdZrAs4 was simulated for Cu Kα X-rays.
Neutral-atom scattering factors, no anomalous dispersion.

Structural model:
```
Pm2NdZrAs4
1.0
7.176 0.000 0.000
0.000 4.143 0.000
-2.369 0.000 6.779
Pm Nd Zr As
2 1 1 4
direct
0.000 0.000 0.000
0.000 0.500 0.500
0.500 0.000 0.500
0.500 0.500 0.000
0.257 0.500 0.240
0.265 0.000 0.766
0.735 0.000 0.234
0.743 0.500 0.760
```

Top 12 peaks for 2θ from 10° to 90°, in order of falling intensity:
- 2.932 Å, I 100
- 2.072 Å, I 61
- 1.311 Å, I 16
- 3.385 Å, I 14
- 1.691 Å, I 13
- 1.694 Å, I 13
- 2.078 Å, I 12
- 1.196 Å, I 12
- 1.310 Å, I 11
- 1.467 Å, I 8
- 1.198 Å, I 8
- 1.314 Å, I 5

Starting from a DFT-relaxed cell (PBE, Alexandria), the PXRD pattern of Pr2NdAs3 was simulated for Cu Kα X-rays.
Neutral-atom scattering factors, no anomalous dispersion.

Structural model:
```
Pr2NdAs3
1.0
4.303 0.000 0.000
0.000 6.073 0.000
0.000 0.000 12.881
Pr Nd As
4 2 6
direct
0.000 0.000 0.167
0.000 0.000 0.833
0.500 0.500 0.333
0.500 0.500 0.667
0.000 0.000 0.500
0.500 0.500 0.000
0.000 0.500 0.166
0.000 0.500 0.500
0.000 0.500 0.834
0.500 0.000 0.000
0.500 0.000 0.334
0.500 0.000 0.666
```

Top 12 peaks for 2θ from 10° to 90°, in order of falling intensity:
- 3.038 Å, I 100
- 2.148 Å, I 75
- 1.754 Å, I 27
- 1.359 Å, I 17
- 1.358 Å, I 17
- 3.508 Å, I 17
- 1.241 Å, I 13
- 1.240 Å, I 13
- 1.519 Å, I 12
- 1.832 Å, I 8
- 1.395 Å, I 2
- 1.393 Å, I 2